Sm8Ho3Tm4: calculated powder diffraction line list (Cu Kα X-rays), based on a structure optimized by DFT (GGA-PBE).
Lines closer than 0.1° are merged.

Crystal structure
```
data_Sm8Ho3Tm4
_chemical_formula_sum 'Sm16 Ho6 Tm8'
_symmetry_space_group_name_H-M 'C 1 2/m 1'
_symmetry_Int_Tables_number 12
_cell_length_a 13.5593
_cell_length_b 12.0964
_cell_length_c 6.8145
_cell_angle_alpha 90.00
_cell_angle_beta 117.40
_cell_angle_gamma 90.00
loop_
_symmetry_equiv_pos_as_xyz
'x,y,z'
'-x,-y,-z'
'-x,y,-z'
'x,-y,z'
'x+1/2,y+1/2,z'
'-x+1/2,-y+1/2,-z'
'-x+1/2,y+1/2,-z'
'x+1/2,-y+1/2,z'
loop_
_atom_site_label
_atom_site_fract_x
_atom_site_fract_y
_atom_site_fract_z
_atom_site_occupancy
Sm1 0.0000 0.2047 0.0000 1
Sm2 0.0000 0.2536 0.5000 1
Sm3 0.2028 0.0000 0.1712 1
Sm4 0.2432 0.5000 0.2924 1
Ho1 0.0000 0.0000 0.5000 1
Ho2 0.2500 0.2500 0.0000 1
Tm1 0.0000 0.5000 0.0000 1
Tm2 0.0000 0.5000 0.5000 1
Tm3 0.2500 0.2500 0.5000 1
```

Main lines, by intensity (10° ≤ 2θ ≤ 90°):
- 2θ 29.5, rel. 100.0, (0 4 0)
- 2θ 29.7, rel. 70.7, (4 0 0)
- 2θ 42.4, rel. 45.7, (4 4 0)
- 2θ 30.1, rel. 41.8, (2 2 -2)
- 2θ 33.1, rel. 32.9, (0 2 2)
- 2θ 34.3, rel. 31.6, (4 2 -2)
- 2θ 30.8, rel. 21.0, (4 0 -2)
- 2θ 26.2, rel. 19.0, (2 0 -2)
- 2θ 62.6, rel. 16.3, (4 4 -4)
- 2θ 42.3, rel. 15.7, (0 4 2)